For ErCu6Sn6, a structure optimized by DFT (PBE) gives the computed powder diffraction line list in this record (Cu Kα (weighted mean of Kα1 and Kα2)).
No peak broadening, texture or thermal motion is included.

Cell and atoms:
```
data_ErCu6Sn6
_space_group_name_H-M_alt 'I m m m'
_space_group_IT_number 71
_space_group_name_Hall '-I 2 2'
_cell_length_a 5.5669
_cell_length_b 9.0331
_cell_length_c 9.7646
_cell_angle_alpha 90.00
_cell_angle_beta 90.00
_cell_angle_gamma 90.00
loop_
_atom_site_label
_atom_site_fract_x
_atom_site_fract_y
_atom_site_fract_z
Er1 0.0000 0.0000 0.0000
Cu1 0.0000 0.2487 0.5000
Cu2 0.2500 0.2500 0.2500
Sn1 0.0000 0.0000 0.3316
Sn2 0.0000 0.3384 0.0000
Sn3 0.0000 0.5000 0.3365
```

Top 10 peaks for 10° ≤ 2θ ≤ 90°, sorted by position:
two_theta	d/Å	Rel. int.	h k l
31.1	2.877	31	0 3 1
31.8	2.810	96	1 0 3
32.2	2.783	47	2 0 0
37.2	2.418	38	2 0 2
37.7	2.386	100	1 2 3
38.0	2.370	49	2 2 0
39.9	2.258	39	0 4 0
42.4	2.132	55	2 2 2
66.6	1.405	35	2 0 6
71.0	1.327	43	1 6 3